# 1
Structure and theoretical X-ray powder pattern of Mg2V3WS8 (a cell relaxed with GGA-PBE; a wavelength of 1.5418 Å).
Kinematic intensities with the Lorentz-polarization factor, no thermal factor.

The 12 most intense peaks (15 to 90 degrees two-theta), by intensity:
h k l, d_spacing, 2θ/deg, Rel. int.
2 2 0, 2.565, 34.98, 100
1 0 2, 3.102, 28.78, 77
4 2 2, 1.789, 51.06, 65
1 2 2, 3.040, 29.38, 59
0 2 2, 2.559, 35.06, 50
2 0 -2, 1.840, 49.55, 49
0 1 1, 5.126, 17.30, 48
2 0 1, 3.092, 28.88, 38
1 0 -1, 3.680, 24.19, 31
2 0 3, 1.978, 45.89, 26
0 2 3, 1.972, 46.02, 26
2 -2 0, 1.831, 49.79, 24

Atomic structure:
```
Mg2V3WS8
1.0
7.153 0.000 0.000
3.408 6.295 0.000
3.388 2.008 5.989
Mg V W S
2 3 1 8
direct
0.126 0.125 0.125
0.874 0.875 0.875
0.000 0.500 0.500
0.500 0.000 0.500
0.500 0.500 0.000
0.500 0.500 0.500
0.259 0.720 0.260
0.260 0.260 0.720
0.263 0.263 0.263
0.280 0.741 0.740
0.720 0.259 0.260
0.737 0.737 0.737
0.740 0.740 0.280
0.741 0.280 0.740
```

---

# 2
Structure and theoretical X-ray powder pattern of SiH3F (a cell relaxed with GGA-PBE; a wavelength of 1.5418 Å).
Kinematic intensities with the Lorentz-polarization factor, no thermal factor.

The 12 most intense peaks (15 to 90 degrees two-theta), by intensity:
h k l, d_spacing, 2θ/deg, Rel. int.
1 0 0, 4.407, 20.15, 100
1 1 0, 3.859, 23.05, 84
0 2 0, 3.997, 22.24, 78
1 2 0, 2.961, 30.18, 40
1 1 -2, 3.467, 25.70, 35
2 1 0, 2.125, 42.55, 31
0 1 1, 5.596, 15.84, 30
0 0 2, 3.918, 22.70, 20
0 3 1, 2.523, 35.59, 19
1 3 -2, 2.190, 41.22, 15
1 1 -1, 4.121, 21.56, 13
0 1 2, 3.518, 25.32, 12

Atomic structure:
```
SiH3F
1.0
4.866 0.000 0.000
0.000 7.994 0.000
-3.665 0.000 7.835
Si H F
4 12 4
direct
0.105 0.230 0.409
0.105 0.270 0.909
0.895 0.730 0.091
0.895 0.770 0.591
0.214 0.094 0.939
0.214 0.406 0.439
0.215 0.718 0.220
0.215 0.782 0.720
0.312 0.119 0.372
0.312 0.381 0.872
0.688 0.619 0.128
0.688 0.881 0.628
0.785 0.218 0.280
0.785 0.282 0.780
0.786 0.594 0.561
0.786 0.906 0.061
0.109 0.166 0.591
0.109 0.334 0.091
0.891 0.666 0.909
0.891 0.834 0.409
```

---

# 3
Structure and theoretical X-ray powder pattern of HgAs4S4I2 (a cell relaxed with GGA-PBE; a wavelength of 1.5418 Å).
Kinematic intensities with the Lorentz-polarization factor, no thermal factor.

The 12 most intense peaks (15 to 90 degrees two-theta), by intensity:
h k l, d_spacing, 2θ/deg, Rel. int.
2 0 -2, 4.913, 18.06, 100
0 1 3, 3.208, 27.81, 52
3 1 -2, 3.278, 27.21, 30
2 1 1, 3.021, 29.57, 29
1 1 1, 4.658, 19.05, 27
1 6 -3, 2.214, 40.76, 27
1 6 -1, 2.559, 35.07, 25
2 2 -3, 3.600, 24.73, 23
1 5 0, 2.952, 30.28, 23
2 0 -4, 3.128, 28.53, 22
3 2 -2, 3.087, 28.92, 21
1 0 2, 3.350, 26.61, 20

Atomic structure:
```
HgAs4S4I2
1.0
10.100 0.000 0.000
0.000 15.899 0.000
-7.746 0.000 9.828
Hg As S I
4 16 16 8
direct
0.211 0.046 0.000
0.211 0.454 0.500
0.789 0.546 0.500
0.789 0.954 0.000
0.133 0.548 0.910
0.133 0.952 0.410
0.285 0.654 0.214
0.285 0.846 0.714
0.386 0.033 0.624
0.386 0.467 0.124
0.469 0.685 0.136
0.469 0.815 0.636
0.531 0.185 0.364
0.531 0.315 0.864
0.614 0.533 0.876
0.614 0.967 0.376
0.715 0.154 0.286
0.715 0.346 0.786
0.867 0.048 0.590
0.867 0.452 0.090
0.042 0.621 0.009
0.042 0.879 0.509
0.278 0.657 0.912
0.278 0.843 0.412
0.362 0.518 0.280
0.362 0.982 0.780
0.403 0.058 0.316
0.403 0.442 0.816
0.597 0.558 0.184
0.597 0.942 0.684
0.638 0.018 0.220
0.638 0.482 0.720
0.722 0.157 0.588
0.722 0.343 0.088
0.958 0.121 0.491
0.958 0.379 0.991
0.126 0.616 0.471
0.126 0.884 0.971
0.255 0.204 0.962
0.255 0.296 0.462
0.745 0.704 0.538
0.745 0.796 0.038
0.874 0.116 0.029
0.874 0.384 0.529
```

---

# 4
Structure and theoretical X-ray powder pattern of As2O3 (a cell relaxed with GGA-PBE; a wavelength of 1.5418 Å).
Kinematic intensities with the Lorentz-polarization factor, no thermal factor.

The 12 most intense peaks (15 to 90 degrees two-theta), by intensity:
h k l, d_spacing, 2θ/deg, Rel. int.
1 1 1, 3.499, 25.46, 100
2 0 -2, 3.533, 25.20, 49
0 0 2, 4.298, 20.66, 36
3 1 -1, 2.477, 36.27, 31
1 1 -3, 2.495, 35.99, 20
2 0 2, 2.684, 33.38, 18
2 2 -2, 1.931, 47.06, 11
1 1 3, 2.211, 40.82, 9
3 2 -3, 1.649, 55.75, 9
1 2 -1, 2.192, 41.17, 9
5 1 -3, 1.572, 58.72, 8
2 2 2, 1.749, 52.30, 8

Atomic structure:
```
As2O3
1.0
8.827 0.000 0.000
0.000 4.612 0.000
-2.393 0.000 8.597
As O
8 12
direct
0.096 0.000 0.115
0.120 0.386 0.585
0.369 0.961 0.935
0.393 0.532 0.394
0.607 0.032 0.606
0.631 0.461 0.065
0.880 0.886 0.415
0.904 0.500 0.885
0.019 0.831 0.922
0.066 0.765 0.546
0.240 0.328 0.450
0.272 0.139 0.070
0.466 0.735 0.577
0.481 0.277 0.910
0.519 0.777 0.090
0.534 0.235 0.423
0.728 0.639 0.930
0.760 0.828 0.550
0.934 0.265 0.454
0.981 0.331 0.078
```

---

# 5
Structure and theoretical X-ray powder pattern of K2Na2Sm2MgNb2O10 (a cell relaxed with GGA-PBE; a wavelength of 1.5418 Å).
Kinematic intensities with the Lorentz-polarization factor, no thermal factor.

The 12 most intense peaks (15 to 90 degrees two-theta), by intensity:
h k l, d_spacing, 2θ/deg, Rel. int.
1 1 2, 3.042, 29.36, 100
2 0 0, 2.824, 31.69, 43
2 2 0, 1.997, 45.42, 33
3 1 2, 1.669, 55.01, 33
1 1 3, 2.463, 36.47, 33
1 1 1, 3.675, 24.22, 28
1 0 1, 4.840, 18.33, 26
3 1 3, 1.551, 59.60, 15
2 0 4, 1.805, 50.56, 15
2 0 3, 2.097, 43.15, 12
2 0 2, 2.420, 37.16, 10
4 0 0, 1.412, 66.19, 10

Atomic structure:
```
K2Na2Sm2MgNb2O10
1.0
5.648 0.000 0.000
0.000 5.648 0.000
0.000 0.000 9.390
K Na Sm Mg Nb O
2 2 2 1 2 10
direct
0.000 0.500 0.000
0.500 0.000 0.000
0.000 0.000 0.207
0.500 0.500 0.820
0.000 0.500 0.580
0.500 0.000 0.580
0.000 0.000 0.457
0.000 0.000 0.772
0.500 0.500 0.335
0.000 0.000 0.984
0.245 0.245 0.731
0.245 0.755 0.731
0.260 0.260 0.403
0.260 0.740 0.403
0.500 0.500 0.135
0.740 0.260 0.403
0.740 0.740 0.403
0.755 0.245 0.731
0.755 0.755 0.731
```